# 1
# Fe6WN4
Theoretical X-ray powder pattern, Cu Kα (λ = 1.5418 Å). Input: a crystal structure in the Materials Project, relaxed with GGA-PBE.
Intensities are scaled so that the largest is 100.

Most intense lines, 15° ≤ 2θ ≤ 90°, most intense first:
2theta  d_spacing  I_rel
35.41  2.535  100
44.68  2.028  71
37.62  2.391  56
55.12  1.666  54
38.76  2.323  41
23.23  3.830  28
78.97  1.212  20
54.25  1.691  18
68.00  1.379  17
74.93  1.267  14

Structure:
a b c (Å): 6.763 6.763 4.646
angles (deg): 90.00 90.00 90.00
Atoms (fractional coordinates):
Fe 0.056 0.556 0.250
Fe 0.056 0.944 0.250
Fe 0.250 0.250 0.237
Fe 0.250 0.250 0.737
Fe 0.444 0.556 0.250
Fe 0.444 0.944 0.250
Fe 0.556 0.056 0.750
Fe 0.556 0.444 0.750
Fe 0.750 0.750 0.263
Fe 0.750 0.750 0.763
Fe 0.944 0.056 0.750
Fe 0.944 0.444 0.750
W 0.250 0.750 0.750
W 0.750 0.250 0.250
N 0.019 0.250 0.464
N 0.250 0.019 0.964
N 0.250 0.481 0.964
N 0.481 0.250 0.464
N 0.519 0.750 0.536
N 0.750 0.519 0.036
N 0.750 0.981 0.036
N 0.981 0.750 0.536

# 2
# Fe3W5N8
Theoretical X-ray powder pattern, Cu Kα (λ = 1.5418 Å). Input: a crystal structure in the Materials Project, relaxed with GGA-PBE.
Intensities are scaled so that the largest is 100.

Most intense lines, 15° ≤ 2θ ≤ 90°, most intense first:
2theta  d_spacing  I_rel
48.81  1.866  100
36.06  2.491  100
31.76  2.817  41
15.73  5.634  30
64.84  1.438  23
74.02  1.281  23
77.92  1.226  20
85.20  1.139  20
39.56  2.278  19
76.50  1.245  11

Structure:
a b c (Å): 2.876 2.876 22.537
angles (deg): 90.00 90.00 120.00
Atoms (fractional coordinates):
Fe 0.000 0.000 0.000
Fe 0.000 0.000 0.247
Fe 0.000 0.000 0.753
W 0.000 0.000 0.124
W 0.000 0.000 0.371
W 0.000 0.000 0.500
W 0.000 0.000 0.629
W 0.000 0.000 0.876
N 0.333 0.667 0.064
N 0.333 0.667 0.440
N 0.333 0.667 0.560
N 0.333 0.667 0.936
N 0.667 0.333 0.184
N 0.667 0.333 0.312
N 0.667 0.333 0.688
N 0.667 0.333 0.816

# 3
# Fe3W3N
Theoretical X-ray powder pattern, Cu Kα (λ = 1.5418 Å). Input: a crystal structure in the Materials Project, relaxed with GGA-PBE.
Intensities are scaled so that the largest is 100.

Most intense lines, 15° ≤ 2θ ≤ 90°, most intense first:
2theta  d_spacing  I_rel
42.57  2.123  100
40.03  2.252  58
46.56  1.951  52
72.72  1.300  45
32.46  2.759  41
35.46  2.531  28
69.76  1.348  18
59.86  1.545  18
64.91  1.437  16
88.08  1.109  16

Structure:
a b c (Å): 7.802 7.802 7.802
angles (deg): 60.00 60.00 60.00
Atoms (fractional coordinates):
Fe 0.000 0.000 0.000
Fe 0.000 0.000 0.500
Fe 0.000 0.500 0.000
Fe 0.110 0.797 0.797
Fe 0.203 0.203 0.203
Fe 0.203 0.203 0.890
Fe 0.203 0.890 0.203
Fe 0.500 0.000 0.000
Fe 0.797 0.110 0.797
Fe 0.797 0.797 0.110
Fe 0.797 0.797 0.797
Fe 0.890 0.203 0.203
W 0.172 0.172 0.578
W 0.172 0.578 0.172
W 0.172 0.578 0.578
W 0.422 0.422 0.828
W 0.422 0.828 0.422
W 0.422 0.828 0.828
W 0.578 0.172 0.172
W 0.578 0.172 0.578
W 0.578 0.578 0.172
W 0.828 0.422 0.422
W 0.828 0.422 0.828
W 0.828 0.828 0.422
N 0.000 0.500 0.500
N 0.500 0.000 0.500
N 0.500 0.500 0.000
N 0.500 0.500 0.500

# 4
# Y2FeN3
Theoretical X-ray powder pattern, Cu Kα (λ = 1.5418 Å). Input: a crystal structure in the Materials Project, relaxed with GGA-PBE.
Intensities are scaled so that the largest is 100.

Most intense lines, 15° ≤ 2θ ≤ 90°, most intense first:
2theta  d_spacing  I_rel
35.45  2.532  100
31.60  2.832  91
35.31  2.542  51
34.27  2.617  51
29.83  2.996  44
43.42  2.084  43
32.18  2.782  43
37.50  2.398  36
38.31  2.349  34
36.35  2.471  33

Structure:
a b c (Å): 5.871 5.871 11.356
angles (deg): 91.55 91.55 128.79
Atoms (fractional coordinates):
Y 0.026 0.441 0.352
Y 0.136 0.346 0.936
Y 0.346 0.136 0.436
Y 0.441 0.026 0.852
Y 0.559 0.974 0.148
Y 0.654 0.864 0.564
Y 0.864 0.654 0.064
Y 0.974 0.559 0.648
Fe 0.282 0.289 0.176
Fe 0.289 0.282 0.676
Fe 0.711 0.718 0.324
Fe 0.718 0.711 0.824
N 0.003 0.997 0.750
N 0.108 0.476 0.132
N 0.145 0.342 0.533
N 0.342 0.145 0.033
N 0.385 0.615 0.750
N 0.476 0.108 0.632
N 0.524 0.892 0.368
N 0.615 0.385 0.250
N 0.658 0.855 0.967
N 0.855 0.658 0.467
N 0.892 0.524 0.868
N 0.997 0.003 0.250

# 5
# Y2Fe17N3
Theoretical X-ray powder pattern, Cu Kα (λ = 1.5418 Å). Input: a crystal structure in the Materials Project, relaxed with GGA-PBE.
Intensities are scaled so that the largest is 100.

Most intense lines, 15° ≤ 2θ ≤ 90°, most intense first:
2theta  d_spacing  I_rel
42.13  2.145  100
41.78  2.162  84
47.31  1.922  45
43.16  2.096  43
40.27  2.240  42
35.97  2.497  32
76.27  1.248  24
78.45  1.219  21
29.68  3.010  21
49.90  1.828  20

Structure:
a b c (Å): 8.649 8.649 8.384
angles (deg): 90.00 90.00 120.00
Atoms (fractional coordinates):
Y 0.000 0.000 0.250
Y 0.000 0.000 0.750
Y 0.333 0.667 0.250
Y 0.667 0.333 0.750
Fe 0.000 0.500 0.000
Fe 0.000 0.500 0.500
Fe 0.053 0.381 0.750
Fe 0.053 0.671 0.750
Fe 0.169 0.339 0.021
Fe 0.169 0.339 0.479
Fe 0.169 0.831 0.021
Fe 0.169 0.831 0.479
Fe 0.329 0.381 0.750
Fe 0.329 0.947 0.750
Fe 0.333 0.667 0.608
Fe 0.333 0.667 0.892
Fe 0.339 0.169 0.521
Fe 0.339 0.169 0.979
Fe 0.381 0.053 0.250
Fe 0.381 0.329 0.250
Fe 0.500 0.000 0.000
Fe 0.500 0.000 0.500
Fe 0.500 0.500 0.000
Fe 0.500 0.500 0.500
Fe 0.619 0.671 0.750
Fe 0.619 0.947 0.750
Fe 0.661 0.831 0.021
Fe 0.661 0.831 0.479
Fe 0.667 0.333 0.108
Fe 0.667 0.333 0.392
Fe 0.671 0.053 0.250
Fe 0.671 0.619 0.250
Fe 0.831 0.169 0.521
Fe 0.831 0.169 0.979
Fe 0.831 0.661 0.521
Fe 0.831 0.661 0.979
Fe 0.947 0.329 0.250
Fe 0.947 0.619 0.250
N 0.164 0.328 0.250
N 0.164 0.836 0.250
N 0.328 0.164 0.750
N 0.672 0.836 0.250
N 0.836 0.164 0.750
N 0.836 0.672 0.750

# 6
# ZnFe5N4
Theoretical X-ray powder pattern, Cu Kα (λ = 1.5418 Å). Input: a crystal structure in the Materials Project, relaxed with GGA-PBE.
Intensities are scaled so that the largest is 100.

Most intense lines, 15° ≤ 2θ ≤ 90°, most intense first:
2theta  d_spacing  I_rel
38.16  2.358  100
40.09  2.249  89
39.37  2.288  71
57.62  1.600  54
69.30  1.356  44
40.32  2.237  41
81.21  1.184  23
68.50  1.370  14
43.48  2.081  14
71.87  1.314  13

Structure:
a b c (Å): 5.479 8.325 4.474
angles (deg): 90.00 90.00 90.00
Atoms (fractional coordinates):
Zn 0.250 0.250 0.211
Zn 0.750 0.750 0.789
Fe 0.007 0.055 0.755
Fe 0.007 0.445 0.755
Fe 0.250 0.750 0.676
Fe 0.493 0.055 0.755
Fe 0.493 0.445 0.755
Fe 0.507 0.555 0.245
Fe 0.507 0.945 0.245
Fe 0.750 0.250 0.324
Fe 0.993 0.555 0.245
Fe 0.993 0.945 0.245
N 0.004 0.250 0.587
N 0.250 0.572 0.956
N 0.250 0.928 0.956
N 0.496 0.250 0.587
N 0.504 0.750 0.413
N 0.750 0.072 0.044
N 0.750 0.428 0.044
N 0.996 0.750 0.413

# 7
# Zn3Fe2N4
Theoretical X-ray powder pattern, Cu Kα (λ = 1.5418 Å). Input: a crystal structure in the Materials Project, relaxed with GGA-PBE.
Intensities are scaled so that the largest is 100.

Most intense lines, 15° ≤ 2θ ≤ 90°, most intense first:
2theta  d_spacing  I_rel
34.39  2.608  100
36.02  2.493  50
37.47  2.400  43
43.07  2.100  31
48.78  1.867  30
47.62  1.910  23
52.48  1.744  18
71.79  1.315  14
55.69  1.651  14
61.68  1.504  12

Structure:
a b c (Å): 6.125 6.125 5.176
angles (deg): 91.28 91.28 86.59
Atoms (fractional coordinates):
Zn 0.116 0.884 0.750
Zn 0.244 0.529 0.422
Zn 0.471 0.756 0.078
Zn 0.529 0.244 0.922
Zn 0.756 0.471 0.578
Zn 0.884 0.116 0.250
Fe 0.095 0.342 0.878
Fe 0.342 0.095 0.378
Fe 0.658 0.905 0.622
Fe 0.905 0.658 0.122
N 0.113 0.253 0.531
N 0.195 0.606 0.009
N 0.253 0.113 0.031
N 0.394 0.805 0.491
N 0.606 0.195 0.509
N 0.747 0.887 0.969
N 0.805 0.394 0.991
N 0.887 0.747 0.469

# 8
# Zn8Fe3N8
Theoretical X-ray powder pattern, Cu Kα (λ = 1.5418 Å). Input: a crystal structure in the Materials Project, relaxed with GGA-PBE.
Intensities are scaled so that the largest is 100.

Most intense lines, 15° ≤ 2θ ≤ 90°, most intense first:
2theta  d_spacing  I_rel
33.78  2.654  100
33.35  2.687  59
34.49  2.601  52
36.64  2.453  42
39.96  2.256  37
53.16  1.723  35
28.13  3.172  32
36.16  2.484  30
24.18  3.680  28
22.13  4.016  26

Structure:
a b c (Å): 10.734 10.734 8.037
angles (deg): 110.05 110.05 18.47
Atoms (fractional coordinates):
Zn 0.053 0.053 0.306
Zn 0.198 0.198 0.850
Zn 0.323 0.323 0.486
Zn 0.416 0.416 0.093
Zn 0.584 0.584 0.907
Zn 0.677 0.677 0.514
Zn 0.802 0.802 0.150
Zn 0.947 0.947 0.694
Fe 0.185 0.185 0.209
Fe 0.500 0.500 0.500
Fe 0.815 0.815 0.791
N 0.132 0.132 0.977
N 0.154 0.154 0.393
N 0.274 0.274 0.222
N 0.495 0.495 0.727
N 0.505 0.505 0.273
N 0.726 0.726 0.778
N 0.846 0.846 0.607
N 0.868 0.868 0.023

# 9
# ZrFe2N2
Theoretical X-ray powder pattern, Cu Kα (λ = 1.5418 Å). Input: a crystal structure in the Materials Project, relaxed with GGA-PBE.
Intensities are scaled so that the largest is 100.

Most intense lines, 15° ≤ 2θ ≤ 90°, most intense first:
2theta  d_spacing  I_rel
36.89  2.436  100
44.22  2.048  81
61.17  1.515  30
41.34  2.184  25
76.52  1.245  22
67.39  1.390  18
78.52  1.218  13
73.62  1.287  12
82.23  1.172  10
54.67  1.679  5

Structure:
a b c (Å): 3.030 3.030 6.552
angles (deg): 90.00 90.00 120.00
Atoms (fractional coordinates):
Zr 0.000 0.000 0.000
Fe 0.333 0.667 0.657
Fe 0.667 0.333 0.343
N 0.333 0.667 0.227
N 0.667 0.333 0.773

# 10
# ZrFeN2
Theoretical X-ray powder pattern, Cu Kα (λ = 1.5418 Å). Input: a crystal structure in the Materials Project, relaxed with GGA-PBE.
Intensities are scaled so that the largest is 100.

Most intense lines, 15° ≤ 2θ ≤ 90°, most intense first:
2theta  d_spacing  I_rel
35.21  2.549  100
28.54  3.128  79
35.00  2.564  64
50.73  1.800  54
41.04  2.199  49
50.23  1.816  43
66.80  1.400  34
28.29  3.155  24
63.10  1.473  23
67.20  1.393  20

Structure:
a b c (Å): 6.310 4.398 7.202
angles (deg): 90.00 90.00 90.00
Atoms (fractional coordinates):
Zr 0.109 0.250 0.127
Zr 0.391 0.750 0.627
Zr 0.609 0.250 0.373
Zr 0.891 0.750 0.873
Fe 0.068 0.250 0.632
Fe 0.432 0.750 0.132
Fe 0.568 0.250 0.868
Fe 0.932 0.750 0.368
N 0.056 0.750 0.621
N 0.095 0.750 0.118
N 0.405 0.250 0.618
N 0.444 0.250 0.121
N 0.556 0.750 0.879
N 0.595 0.750 0.382
N 0.905 0.250 0.882
N 0.944 0.250 0.379